[1]
Theoretical powder diffraction line list of B2P for Cu Kα (weighted mean of Kα1 and Kα2), from a crystal structure in Alexandria, relaxed with GGA-PBE.

Most intense lines, 15° ≤ 2θ ≤ 90°, in order of rising 2θ:
| 2θ (°) | d/Å | I_rel |
| --- | --- | --- |
| 29.7 | 3.009 | 11 |
| 30.8 | 2.905 | 45 |
| 34.1 | 2.631 | 100 |
| 37.4 | 2.405 | 17 |
| 39.1 | 2.305 | 60 |
| 48.5 | 1.879 | 17 |
| 58.8 | 1.571 | 15 |
| 59.7 | 1.548 | 20 |
| 60.1 | 1.541 | 20 |
| 65.3 | 1.428 | 17 |

Atomic structure:
a b c (Å): 4.113 4.809 6.096
angles (deg): 90.00 99.15 90.00
Space group C2 (No. 5)
One atom of each set of equivalent atoms:
B: 0.000 0.000 0.000 x2
B: 0.000 0.194 0.500 x2
B: 0.132 0.673 0.886 x4
P: 0.196 0.452 0.308 x4

[2]
Theoretical powder diffraction line list of Mg4SbPb for Cu Kα (weighted mean of Kα1 and Kα2), from a crystal structure in Alexandria, relaxed with GGA-PBE.

Most intense lines, 15° ≤ 2θ ≤ 90°, in order of rising 2θ:
| 2θ (°) | d/Å | I_rel |
| --- | --- | --- |
| 21.7 | 4.099 | 51 |
| 22.3 | 3.994 | 100 |
| 23.0 | 3.872 | 50 |
| 25.5 | 3.489 | 33 |
| 36.2 | 2.483 | 51 |
| 36.3 | 2.473 | 25 |
| 36.5 | 2.460 | 25 |
| 37.8 | 2.380 | 45 |
| 42.5 | 2.129 | 21 |
| 43.4 | 2.084 | 19 |

Atomic structure:
a b c (Å): 4.930 4.947 6.784
angles (deg): 89.96 86.57 89.91
Space group P-1 (No. 2)
One atom of each set of equivalent atoms:
Mg: 0.014 0.000 0.247 x2
Mg: 0.485 0.500 0.249 x2
Sb: 0.500 0.000 0.500 x1
Pb: 0.000 0.500 0.000 x1

[3]
Theoretical powder diffraction line list of Se3S for Cu Kα (weighted mean of Kα1 and Kα2), from a crystal structure in Alexandria, relaxed with GGA-PBE.

Most intense lines, 15° ≤ 2θ ≤ 90°, in order of rising 2θ:
| 2θ (°) | d/Å | I_rel |
| --- | --- | --- |
| 19.4 | 4.581 | 100 |
| 36.2 | 2.484 | 78 |
| 39.3 | 2.290 | 15 |
| 46.1 | 1.971 | 39 |
| 50.0 | 1.824 | 15 |
| 54.1 | 1.695 | 24 |
| 62.1 | 1.494 | 16 |
| 65.4 | 1.427 | 13 |
| 76.8 | 1.242 | 8 |
| 84.7 | 1.145 | 15 |

Atomic structure:
a b c (Å): 3.649 3.649 18.323
angles (deg): 90.00 90.00 90.00
Space group I4/mmm (No. 139)
One atom of each set of equivalent atoms:
Se: 0.000 0.000 0.000 x2
Se: 0.000 0.500 0.250 x4
S: 0.000 0.000 0.500 x2